# La2PrCdCo
Simulated X-ray powder pattern, Cu Kα. Input: a PBE-relaxed structure.
Kinematic intensities with the Lorentz-polarization factor, no thermal factor.

Structure:
```
La2PrCdCo
1.0
7.6611 0.0000 0.0000
0.0000 3.9671 0.0000
-0.9470 0.0000 9.6092
La Pr Cd Co
4 2 2 2
direct
0.1385 0.2500 0.3056
0.3146 0.7500 0.6109
0.6854 0.2500 0.3891
0.8615 0.7500 0.6944
0.1741 0.2500 0.9207
0.8259 0.7500 0.0793
0.4147 0.7500 0.1430
0.5853 0.2500 0.8570
0.0670 0.2500 0.6053
0.9330 0.7500 0.3947
```

Largest 8 diffraction maxima, low angle first, 5° ≤ 2θ ≤ 70°:
(2 0 -2), 28.42 deg, 3.140 Å, rel. 42; (0 1 2), 29.19 deg, 3.059 Å, rel. 87; (1 0 3), 31.34 deg, 2.854 Å, rel. 64; (2 1 0), 32.58 deg, 2.749 Å, rel. 100; (3 0 1), 37.46 deg, 2.401 Å, rel. 31; (0 2 0), 45.74 deg, 1.984 Å, rel. 27; (3 1 3), 53.42 deg, 1.715 Å, rel. 27; (1 2 3), 56.49 deg, 1.629 Å, rel. 29

# Mg14CdCo
Simulated X-ray powder pattern, Cu Kα. Input: a PBE-relaxed structure.
Kinematic intensities with the Lorentz-polarization factor, no thermal factor.

Structure:
```
Mg14CdCo
1.0
6.2268 0.0000 0.0000
-3.1134 5.3926 0.0000
0.0000 0.0000 10.1214
Mg Cd Co
14 1 1
direct
0.0000 0.0000 0.2481
0.0000 0.0000 0.7519
0.0113 0.5057 0.2640
0.0113 0.5057 0.7360
0.3294 0.1647 0.5000
0.3353 0.1677 0.0000
0.4943 0.5057 0.2640
0.4943 0.5057 0.7360
0.4943 0.9887 0.2640
0.4943 0.9887 0.7360
0.8323 0.1677 0.0000
0.8323 0.6647 0.0000
0.8353 0.1647 0.5000
0.8353 0.6706 0.5000
0.3333 0.6667 0.0000
0.3333 0.6667 0.5000
```

Largest 8 diffraction maxima, low angle first, 5° ≤ 2θ ≤ 70°:
(1 0 0), 16.44 deg, 5.393 Å, rel. 32; (1 0 2), 24.12 deg, 3.690 Å, rel. 21; (2 0 0), 33.23 deg, 2.696 Å, rel. 28; (0 0 4), 35.48 deg, 2.530 Å, rel. 25; (2 0 2), 37.81 deg, 2.380 Å, rel. 100; (2 0 4), 49.39 deg, 1.845 Å, rel. 17; (2 2 0), 59.37 deg, 1.557 Å, rel. 16; (2 0 6), 65.24 deg, 1.430 Å, rel. 17

# MgCd2Co
Simulated X-ray powder pattern, Cu Kα. Input: a PBE-relaxed structure.
Kinematic intensities with the Lorentz-polarization factor, no thermal factor.

Structure:
```
MgCd2Co
1.0
3.2088 0.0000 0.0000
0.0000 3.3107 0.0000
-0.0288 0.0000 6.8006
Mg Cd Co
1 2 1
direct
0.0000 0.0000 0.0000
0.4998 0.5000 0.2814
0.5002 0.5000 0.7186
0.0000 0.0000 0.5000
```

Largest 8 diffraction maxima, low angle first, 5° ≤ 2θ ≤ 70°:
(0 0 1), 13.02 deg, 6.801 Å, rel. 49; (0 0 2), 26.21 deg, 3.400 Å, rel. 22; (0 1 0), 26.93 deg, 3.311 Å, rel. 27; (1 0 0), 27.80 deg, 3.209 Å, rel. 25; (0 1 2), 37.93 deg, 2.372 Å, rel. 97; (1 0 -2), 38.49 deg, 2.339 Å, rel. 47; (1 0 2), 38.66 deg, 2.329 Å, rel. 46; (1 1 0), 39.09 deg, 2.304 Å, rel. 100

Please write out number 2 again, unchanged.
# Mg14CdCo
Simulated X-ray powder pattern, Cu Kα. Input: a PBE-relaxed structure.
Kinematic intensities with the Lorentz-polarization factor, no thermal factor.

Structure:
```
Mg14CdCo
1.0
6.2268 0.0000 0.0000
-3.1134 5.3926 0.0000
0.0000 0.0000 10.1214
Mg Cd Co
14 1 1
direct
0.0000 0.0000 0.2481
0.0000 0.0000 0.7519
0.0113 0.5057 0.2640
0.0113 0.5057 0.7360
0.3294 0.1647 0.5000
0.3353 0.1677 0.0000
0.4943 0.5057 0.2640
0.4943 0.5057 0.7360
0.4943 0.9887 0.2640
0.4943 0.9887 0.7360
0.8323 0.1677 0.0000
0.8323 0.6647 0.0000
0.8353 0.1647 0.5000
0.8353 0.6706 0.5000
0.3333 0.6667 0.0000
0.3333 0.6667 0.5000
```

Largest 8 diffraction maxima, low angle first, 5° ≤ 2θ ≤ 70°:
(1 0 0), 16.44 deg, 5.393 Å, rel. 32; (1 0 2), 24.12 deg, 3.690 Å, rel. 21; (2 0 0), 33.23 deg, 2.696 Å, rel. 28; (0 0 4), 35.48 deg, 2.530 Å, rel. 25; (2 0 2), 37.81 deg, 2.380 Å, rel. 100; (2 0 4), 49.39 deg, 1.845 Å, rel. 17; (2 2 0), 59.37 deg, 1.557 Å, rel. 16; (2 0 6), 65.24 deg, 1.430 Å, rel. 17